Entry 1:
Diffraction record for LiFeP2O7. The X-ray powder pattern is simulated, not measured: it uses a crystal structure in the Materials Project, relaxed with GGA+U and Cu Kα (λ = 1.5418 Å).

Atomic structure:
```
LiFeP2O7
1.0
5.089 0.000 0.000
0.314 6.784 0.000
0.399 3.012 7.722
Li Fe P O
2 2 4 14
Cartesian
0.000 0.000 0.000
2.916 6.037 4.304
2.423 1.191 2.226
5.443 6.668 6.414
2.857 8.545 5.659
2.935 4.492 6.696
4.936 3.234 1.920
5.343 6.003 3.012
0.324 3.825 0.597
0.763 2.166 2.489
1.436 8.439 6.243
1.746 6.167 2.698
2.117 5.620 6.045
1.894 0.898 0.243
2.944 8.025 4.234
2.875 3.336 5.558
3.477 2.785 1.901
3.906 7.909 6.575
4.421 4.832 6.856
4.438 6.706 1.980
4.973 6.337 4.463
4.990 4.434 2.998
```

Top 12 peaks for 2θ = 5–70°, most intense first:
d/Å  two_theta  I (rel.)
3.861  23.0  100
3.902  22.8  98
6.096  14.5  79
4.019  22.1  74
2.883  31.0  40
2.759  32.4  39
2.541  35.3  28
2.507  35.8  15
2.092  43.3  14
2.336  38.5  13
2.251  40.1  12
2.300  39.2  11

Entry 2:
Diffraction record for LiFe2P2O8. The X-ray powder pattern is simulated, not measured: it uses a crystal structure in the Materials Project, relaxed with GGA+U and Cu Kα (λ = 1.5418 Å).

Atomic structure:
```
LiFe2P2O8
1.0
6.264 0.000 0.000
0.000 2.752 4.063
0.000 -2.752 4.063
Li Fe P O
1 2 2 8
Cartesian
0.000 0.000 0.000
1.701 0.000 2.714
4.563 0.000 2.714
0.000 0.000 5.492
3.132 0.000 7.982
0.000 -1.491 2.384
0.000 1.491 2.384
1.247 0.000 4.629
1.859 0.000 0.713
3.132 -1.473 3.008
3.132 1.473 3.008
4.405 0.000 0.713
5.016 0.000 4.629
```

Top 12 peaks for 2θ = 5–70°, most intense first:
d/Å  two_theta  I (rel.)
2.581  34.8  100
3.685  24.2  54
4.557  19.5  47
2.430  37.0  43
2.752  32.5  40
3.409  26.1  32
1.449  64.3  31
1.842  49.5  26
2.067  43.8  25
4.063  21.9  24
1.704  53.8  15
1.554  59.5  13

Entry 3:
Diffraction record for Li2Fe3P9O28. The X-ray powder pattern is simulated, not measured: it uses a crystal structure in the Materials Project, relaxed with GGA+U and Cu Kα (λ = 1.5418 Å).

Atomic structure:
```
Li2Fe3P9O28
1.0
7.101 0.000 0.000
-1.326 8.939 0.000
-3.058 -3.872 7.825
Li Fe P O
2 3 9 28
Cartesian
0.147 2.873 1.833
2.570 2.194 5.992
0.000 0.000 0.000
-1.112 1.718 5.966
3.829 3.349 1.859
-1.309 4.536 4.213
-0.220 0.199 3.312
-1.174 -1.300 7.304
1.109 7.015 0.868
2.022 -1.936 3.913
1.608 -1.948 6.958
3.891 6.367 0.521
2.937 4.868 4.514
4.026 0.531 3.612
-2.647 5.420 4.378
-1.346 3.815 2.862
-2.438 -2.125 7.180
-0.051 0.819 1.927
-2.178 2.025 7.672
-1.124 -0.181 6.296
-1.213 3.611 5.408
0.462 8.333 0.555
0.536 -1.145 3.549
0.030 1.277 4.357
-0.154 5.578 4.339
0.758 6.420 2.294
0.043 -2.289 6.921
2.054 3.039 0.941
0.663 2.029 6.884
2.674 7.356 0.904
1.959 -1.353 5.531
2.870 -0.511 3.486
2.687 3.790 3.468
2.181 6.212 4.276
2.255 -3.265 7.270
3.930 1.456 2.418
3.841 5.248 1.529
4.895 3.042 0.153
2.768 4.248 5.898
5.155 7.192 0.645
4.062 1.252 4.964
5.364 -0.353 3.447
```

Top 12 peaks for 2θ = 5–70°, most intense first:
d/Å  two_theta  I (rel.)
5.164  17.2  100
3.026  29.5  76
4.881  18.2  62
3.752  23.7  59
3.841  23.2  44
2.876  31.1  41
2.977  30.0  32
6.433  13.8  29
3.335  26.7  28
3.192  28.0  26
2.855  31.3  23
2.312  39.0  22

Entry 4:
Diffraction record for LiFe2P2O8. The X-ray powder pattern is simulated, not measured: it uses a crystal structure in the Materials Project, relaxed with GGA+U and Cu Kα (λ = 1.5418 Å).

Atomic structure:
```
LiFe2P2O8
1.0
8.299 0.000 0.000
0.000 5.255 0.000
-2.487 0.000 8.195
Li Fe P O
2 4 4 16
Cartesian
0.000 0.882 0.000
-1.243 4.372 4.098
0.262 1.732 3.268
-0.982 3.523 7.366
4.995 0.965 0.552
3.751 4.289 4.649
0.128 0.909 6.334
1.371 4.346 2.237
5.225 1.635 3.655
3.982 3.619 7.752
-1.134 1.612 6.914
0.109 3.643 2.816
0.948 0.525 1.814
-0.295 4.729 5.912
0.773 1.661 5.179
2.017 3.594 1.081
1.178 0.845 7.488
2.422 4.410 3.391
4.506 1.565 2.281
3.263 3.690 6.378
4.417 0.824 4.708
5.661 4.431 0.611
6.521 2.111 0.021
5.277 3.143 4.119
6.628 1.033 3.540
5.385 4.221 7.638
```

Top 12 peaks for 2θ = 5–70°, most intense first:
d/Å  two_theta  I (rel.)
4.154  21.4  100
3.971  22.4  73
3.273  27.2  66
3.216  27.7  38
2.845  31.4  32
2.627  34.1  24
4.098  21.7  19
2.424  37.1  14
1.556  59.4  14
1.426  65.5  14
2.502  35.9  13
1.460  63.7  12

Entry 5:
Diffraction record for Li8Fe7P8O32. The X-ray powder pattern is simulated, not measured: it uses a crystal structure in the Materials Project, relaxed with GGA+U and Cu Kα (λ = 1.5418 Å).

Atomic structure:
```
Li8Fe7P8O32
1.0
4.789 -6.104 0.000
4.789 6.104 0.000
-4.728 0.000 10.279
Li Fe P O
8 7 8 32
Cartesian
4.789 4.664 0.000
2.564 4.637 4.878
2.533 1.498 5.107
0.234 1.447 10.259
2.533 -1.498 5.107
0.234 -1.447 10.259
4.789 -4.664 0.000
2.564 -4.637 4.878
0.009 0.000 7.338
2.564 0.000 2.172
2.416 3.044 7.920
4.957 3.025 2.821
4.828 0.000 7.317
2.416 -3.044 7.920
4.957 -3.025 2.821
-0.253 3.052 6.039
2.918 3.001 0.946
-2.685 0.000 9.238
0.477 0.000 4.150
-0.253 -3.052 6.039
2.918 -3.001 0.946
2.126 0.000 9.198
5.248 0.000 4.061
-0.885 1.832 6.776
-1.313 3.032 9.767
-1.018 0.000 4.265
3.671 4.114 1.735
1.461 4.859 8.532
1.446 0.000 0.406
1.075 1.264 3.368
1.284 3.046 6.056
3.553 1.720 1.640
-1.148 0.000 9.203
1.075 -1.264 3.368
3.958 3.078 4.567
-0.885 -1.832 6.776
1.229 0.000 5.521
6.167 3.048 1.069
1.501 1.236 8.427
3.880 1.804 6.707
-1.313 -3.032 9.767
3.701 0.000 4.048
3.553 -1.720 1.640
5.798 1.312 3.396
1.501 -1.236 8.427
6.262 0.000 0.325
1.284 -3.046 6.056
3.671 -4.114 1.735
3.678 0.000 9.174
3.880 -1.804 6.707
5.798 -1.312 3.396
5.877 0.000 5.489
3.958 -3.078 4.567
6.167 -3.048 1.069
1.461 -4.859 8.532
```

Top 12 peaks for 2θ = 5–70°, most intense first:
d/Å  two_theta  I (rel.)
3.052  29.3  100
4.341  20.5  100
3.537  25.2  93
2.541  35.3  74
2.529  35.5  72
2.497  36.0  48
3.931  22.6  44
5.139  17.3  39
1.526  60.7  31
7.075  12.5  31
1.771  51.6  29
1.649  55.7  27

Entry 6:
Diffraction record for Li2FeP2O7. The X-ray powder pattern is simulated, not measured: it uses a crystal structure in the Materials Project, relaxed with GGA+U and Cu Kα (λ = 1.5418 Å).

Atomic structure:
```
Li2FeP2O7
1.0
7.790 0.000 0.000
0.000 5.087 0.000
-0.099 0.000 7.896
Li Fe P O
4 2 4 14
Cartesian
1.741 0.000 1.810
2.043 0.305 5.775
5.648 0.305 2.121
5.950 0.000 6.086
-0.050 2.698 3.948
3.895 2.668 0.000
0.993 3.185 6.791
2.769 2.220 2.837
4.922 2.220 5.059
6.697 3.185 1.105
0.000 3.626 0.000
0.507 3.904 5.506
1.104 1.689 6.682
1.463 1.505 3.273
2.284 3.903 7.262
2.675 3.718 2.748
3.255 1.511 1.545
3.845 1.750 3.948
4.436 1.511 6.351
5.016 3.718 5.148
5.407 3.903 0.634
6.228 1.505 4.623
6.587 1.689 1.214
7.184 3.904 2.390
```

Top 12 peaks for 2θ = 5–70°, most intense first:
d/Å  two_theta  I (rel.)
5.087  17.4  100
3.507  25.4  39
4.267  20.8  25
3.539  25.2  21
3.476  25.6  18
2.887  31.0  16
2.312  39.0  14
3.092  28.9  14
3.119  28.6  13
2.421  37.1  13
1.776  51.5  11
2.246  40.2  11